Computed XRD peak list
Compound: Ce3Sb2O3
Radiation: λ = 1.5418 Å (Cu Kα)
Structure: a crystal structure in Alexandria, relaxed with GGA-PBE

Main lines, in order of falling intensity (10 to 80 degrees two-theta):
two_theta, d_spacing, I_rel
36.86, 2.438, 100
33.72, 2.658, 80
21.89, 4.061, 63
45.25, 2.004, 48
25.33, 3.517, 42
60.80, 1.524, 36

```
data_Ce3Sb2O3
_chemical_formula_sum 'Ce3 Sb2 O3'
_symmetry_space_group_name_H-M 'P -6 2 m'
_symmetry_Int_Tables_number 189
_symmetry_space_group_name_Hall 'P -6 -2'
_cell_length_a 8.1212
_cell_length_b 8.1212
_cell_length_c 3.0494
_cell_angle_alpha 90.00
_cell_angle_beta 90.00
_cell_angle_gamma 120.00
loop_
_atom_site_label
_atom_site_type_symbol
_atom_site_fract_x
_atom_site_fract_y
_atom_site_fract_z
_atom_site_occupancy
Ce1 Ce 0.0000 0.7523 0.0000 1
Sb1 Sb 0.3333 0.6667 0.5000 1
O1 O 0.0000 0.1893 0.5000 1
```